Simulated X-ray diffraction stick pattern
Compound: SnHC2O3
Radiation: λ = 1.5418 Å (Cu Kα)
Structure: a DFT-relaxed cell (PBE, the Materials Project)
Kinematic intensities with the Lorentz-polarization factor, no thermal factor.

```
data_SnHC2O3
_chemical_formula_sum 'Sn8 H8 C16 O24'
_space_group_name_H-M_alt 'C 1 2/m 1'
_space_group_IT_number 12
_space_group_name_Hall '-C 2y'
_cell_length_a 13.0333
_cell_length_b 7.9609
_cell_length_c 8.4629
_cell_angle_alpha 90.00
_cell_angle_beta 122.11
_cell_angle_gamma 90.00
loop_
_atom_site_label
_atom_site_type_symbol
_atom_site_fract_x
_atom_site_fract_y
_atom_site_fract_z
Sn1 Sn 0.0000 0.2100 0.0000
Sn2 Sn 0.1962 0.5000 0.8452
H1 H 0.1148 0.3962 0.4605
C1 C 0.1175 0.0926 0.4727
C2 C 0.1837 0.0920 0.6782
O1 O 0.0770 0.2077 0.3511
O2 O 0.1165 0.0000 0.0473
O3 O 0.1506 0.5000 0.5385
O4 O 0.2263 0.1997 0.8077
```

The 6 most intense peaks (2θ from 10° to 90°), sorted by position:
2θ (°), I (rel.), (hkl)
12.35, 100, 0 0 1
15.35, 51, 1 1 -1
24.37, 56, 1 1 -2
26.52, 81, 2 2 -1
27.63, 67, 2 2 0
27.79, 100, 4 0 -1